# 1
The following is a calculated XRD peak list of Ti2As4W3. It was derived from a cell relaxed with PBE, using Cu Kα.
Neutral-atom scattering factors, no anomalous dispersion.

Main lines, sorted by position (2θ = 5–70°):
Position (°2θ)	I_rel	index
12.9	1000	1 0 -1
20.5	492	1 0 2
33.8	624	2 1 1
38.6	681	0 1 3
38.7	690	3 1 0
39.5	391	3 0 -3

Structure:
```
data_Ti2As4W3
_chemical_formula_sum 'Ti4 As8 W6'
_symmetry_space_group_name_H-M 'P 1 2/m 1'
_symmetry_Int_Tables_number 10
_cell_length_a 9.646
_cell_length_b 3.363
_cell_length_c 9.712
_cell_angle_alpha 90.00
_cell_angle_beta 90.08
_cell_angle_gamma 90.00
loop_
_symmetry_equiv_pos_as_xyz
'x,y,z'
'-x,-y,-z'
'-x,y,-z'
'x,-y,z'
loop_
_atom_site_label
_atom_site_fract_x
_atom_site_fract_y
_atom_site_fract_z
_atom_site_occupancy
Ti1 0.124 0.000 0.188 1
Ti2 0.310 0.500 0.623 1
As1 0.058 0.500 0.719 1
As2 0.215 0.000 0.440 1
As3 0.285 0.500 0.054 1
As4 0.446 0.000 0.782 1
W1 0.000 0.500 0.000 1
W2 0.200 0.000 0.874 1
W3 0.372 0.500 0.303 1
W4 0.500 0.000 0.500 1
```

---

# 2
The following is a calculated XRD peak list of SrIn3. It was derived from a cell relaxed with PBE, using Cu Kα.
Neutral-atom scattering factors, no anomalous dispersion.

Main lines, sorted by position (2θ = 5–70°):
Position (°2θ)	I_rel	index
18.2	12	1 0 0
31.8	1000	1 1 1
36.9	501	2 0 0
53.1	340	2 2 0
63.3	396	3 1 1
66.4	114	2 2 2

Structure:
```
data_SrIn3
_chemical_formula_sum 'Sr1 In3'
_symmetry_space_group_name_H-M 'P m -3 m'
_symmetry_Int_Tables_number 221
_symmetry_space_group_name_Hall '-P 4 2 3'
_cell_length_a 4.874
_cell_length_b 4.874
_cell_length_c 4.874
_cell_angle_alpha 90.00
_cell_angle_beta 90.00
_cell_angle_gamma 90.00
loop_
_atom_site_label
_atom_site_fract_x
_atom_site_fract_y
_atom_site_fract_z
_atom_site_occupancy
Sr1 0.000 0.000 0.000 1
In1 0.000 0.500 0.500 1
```

---

# 3
The following is a calculated XRD peak list of Mg14AlMo. It was derived from a cell relaxed with PBE, using Cu Kα.
Neutral-atom scattering factors, no anomalous dispersion.

Main lines, sorted by position (2θ = 5–70°):
Position (°2θ)	I_rel	index
8.7	341	1 0 0
33.4	263	0 2 2
35.4	401	4 0 0
37.6	527	2 0 4
38.0	1000	2 2 2
65.2	193	6 2 2

Structure:
```
data_Mg14AlMo
_chemical_formula_sum 'Mg28 Al2 Mo2'
_symmetry_space_group_name_H-M 'A m m 2'
_symmetry_Int_Tables_number 38
_cell_length_a 10.146
_cell_length_b 6.162
_cell_length_c 10.850
_cell_angle_alpha 90.00
_cell_angle_beta 90.00
_cell_angle_gamma 90.00
loop_
_symmetry_equiv_pos_as_xyz
'x,y,z'
'-x,-y,z'
'-x,y,z'
'x,-y,z'
'x,y+1/2,z+1/2'
'-x,-y+1/2,z+1/2'
'-x,y+1/2,z+1/2'
'x,-y+1/2,z+1/2'
loop_
_atom_site_label
_atom_site_fract_x
_atom_site_fract_y
_atom_site_fract_z
_atom_site_occupancy
Mg1 0.000 0.000 0.000 1
Mg2 0.000 0.000 0.499 1
Mg3 0.000 0.249 0.251 1
Mg4 0.251 0.000 0.665 1
Mg5 0.258 0.000 0.161 1
Mg6 0.263 0.245 0.919 1
Mg7 0.500 0.249 0.249 1
Al1 0.500 0.000 0.502 1
Mo1 0.500 0.000 0.002 1
```

---

# 4
The following is a calculated XRD peak list of Li2PdO3. It was derived from a cell relaxed with PBE, using Cu Kα.
Neutral-atom scattering factors, no anomalous dispersion.

Main lines, sorted by position (2θ = 5–70°):
Position (°2θ)	I_rel	index
18.3	1000	0 0 1
20.6	373	1 1 0
23.3	267	1 1 -1
35.0	335	1 3 0
42.7	511	1 3 1
42.9	251	2 0 -2

Structure:
```
data_Li2PdO3
_chemical_formula_sum 'Li8 Pd4 O12'
_symmetry_space_group_name_H-M 'C 1 2/m 1'
_symmetry_Int_Tables_number 12
_cell_length_a 5.193
_cell_length_b 9.009
_cell_length_c 5.141
_cell_angle_alpha 90.00
_cell_angle_beta 109.29
_cell_angle_gamma 90.00
loop_
_symmetry_equiv_pos_as_xyz
'x,y,z'
'-x,-y,-z'
'-x,y,-z'
'x,-y,z'
'x+1/2,y+1/2,z'
'-x+1/2,-y+1/2,-z'
'-x+1/2,y+1/2,-z'
'x+1/2,-y+1/2,z'
loop_
_atom_site_label
_atom_site_fract_x
_atom_site_fract_y
_atom_site_fract_z
_atom_site_occupancy
Li1 0.000 0.000 0.000 1
Li2 0.000 0.169 0.500 1
Li3 0.000 0.500 0.500 1
Pd1 0.000 0.333 0.000 1
O1 0.229 0.500 0.237 1
O2 0.249 0.174 0.234 1
```